This entry pairs a crystal structure of Ho2PuCrN4 with its simulated powder diffractogram. Radiation: Cu Ka. Structure: a crystal structure in Alexandria, relaxed with PBE.
Kinematic intensities with the Lorentz-polarization factor, no thermal factor.

Atomic structure:
Unit cell a=5.9643 b=5.9643 c=11.6275 alpha=90.00 beta=90.00 gamma=147.36
Element x y z (fractional)
Ho: 0.1304 0.8696 0.5430
Ho: 0.1304 0.8696 0.9570
Ho: 0.8696 0.1304 0.0430
Ho: 0.8696 0.1304 0.4570
Pu: 0.3965 0.6035 0.7500
Pu: 0.6035 0.3965 0.2500
Cr: 0.3364 0.6636 0.2500
Cr: 0.6636 0.3364 0.7500
N: 0.0734 0.9266 0.7500
N: 0.2325 0.7675 0.1295
N: 0.2325 0.7675 0.3705
N: 0.5000 0.5000 0.0000
N: 0.5000 0.5000 0.5000
N: 0.7675 0.2325 0.6295
N: 0.7675 0.2325 0.8705
N: 0.9266 0.0734 0.2500

The 10 most intense peaks (2θ = 5–70°), sorted by position:
2theta, I (rel.)
27.80, 77
30.76, 37
31.25, 49
31.79, 100
36.51, 44
38.98, 56
44.42, 22
48.29, 28
50.78, 27
53.65, 27